# Li3Pd6Au2
Theoretical powder X-ray diffraction pattern, λ = 1.5418 Å (Cu Kα). Input: a structure optimized by DFT (PBE).

Top 6 peaks for 15° ≤ 2θ ≤ 90°, most intense first:
2theta  d [Å]  Rel. int.
20.23  4.390  100
41.39  2.181  70
42.36  2.134  65
39.75  2.268  61
40.21  2.243  55
41.12  2.195  46

```
data_Li3Pd6Au2
_chemical_formula_sum 'Li3 Pd6 Au2'
_cell_length_a 5.4443
_cell_length_b 5.4627
_cell_length_c 6.4750
_cell_angle_alpha 72.90
_cell_angle_beta 75.87
_cell_angle_gamma 77.04
_symmetry_space_group_name_H-M 'P -1'
_symmetry_Int_Tables_number 2
loop_
_symmetry_equiv_pos_as_xyz
'x,y,z'
'-x,-y,-z'
loop_
_atom_site_label
_atom_site_type_symbol
_atom_site_fract_x
_atom_site_fract_y
_atom_site_fract_z
_atom_site_occupancy
Li1 Li 0.0000 0.0000 0.0000 1
Li2 Li 0.4420 0.7556 0.5403 1
Pd1 Pd 0.0376 0.2267 0.5242 1
Pd2 Pd 0.1841 0.4260 0.8209 1
Pd3 Pd 0.3614 0.0698 0.1821 1
Au1 Au 0.3178 0.5874 0.1623 1
```